Structure and computed powder XRD pattern of NaNd2OsO6 (a structure optimized by DFT (PBE); λ = 1.5418 Å (Cu Kα)).
Neutral-atom scattering factors, no anomalous dispersion.

Atomic structure:
a b c (Å): 5.571 5.987 9.706
angles (deg): 90.00 123.99 90.00
Positions (direct):
Na1 0.000 0.000 0.000
Na2 0.000 0.500 0.500
Nd1 0.224 0.072 0.746
Nd2 0.224 0.428 0.246
Nd3 0.776 0.572 0.754
Nd4 0.776 0.928 0.254
Os1 0.500 0.000 0.500
Os2 0.500 0.500 0.000
O1 0.154 0.173 0.447
O2 0.154 0.327 0.947
O3 0.266 0.718 0.429
O4 0.266 0.782 0.929
O5 0.394 0.053 0.270
O6 0.394 0.447 0.770
O7 0.606 0.553 0.230
O8 0.606 0.947 0.730
O9 0.734 0.218 0.071
O10 0.734 0.282 0.571
O11 0.846 0.673 0.053
O12 0.846 0.827 0.553

The 8 most intense peaks (15 to 90 degrees two-theta), in order of falling intensity:
| 2θ (°) | d (Å) | Rel. int. |
| --- | --- | --- |
| 31.02 | 2.883 | 100.0 |
| 31.44 | 2.846 | 97.5 |
| 18.47 | 4.804 | 60.0 |
| 32.14 | 2.785 | 46.7 |
| 29.85 | 2.994 | 38.3 |
| 19.55 | 4.542 | 33.5 |
| 44.43 | 2.039 | 32.9 |
| 56.33 | 1.633 | 26.0 |

=====

Structure and computed powder XRD pattern of EuZrF6 (a structure optimized by DFT (PBE); λ = 1.5418 Å (Cu Kα)).
Neutral-atom scattering factors, no anomalous dispersion.

Atomic structure:
a b c (Å): 6.750 6.750 5.388
angles (deg): 90.00 90.00 110.63
Positions (direct):
Eu1 0.250 0.750 0.961
Eu2 0.750 0.250 0.039
Zr1 0.250 0.250 0.500
Zr2 0.750 0.750 0.500
F1 0.060 0.317 0.761
F2 0.076 0.924 0.658
F3 0.183 0.440 0.239
F4 0.317 0.060 0.239
F5 0.424 0.576 0.658
F6 0.440 0.183 0.761
F7 0.560 0.817 0.239
F8 0.576 0.424 0.342
F9 0.683 0.940 0.761
F10 0.817 0.560 0.761
F11 0.924 0.076 0.342
F12 0.940 0.683 0.239

The 8 most intense peaks (15 to 90 degrees two-theta), in order of falling intensity:
| 2θ (°) | d (Å) | Rel. int. |
| --- | --- | --- |
| 23.00 | 3.866 | 100.0 |
| 28.26 | 3.158 | 44.4 |
| 28.54 | 3.128 | 41.4 |
| 43.60 | 2.076 | 35.8 |
| 44.18 | 2.050 | 31.0 |
| 47.01 | 1.933 | 21.0 |
| 53.26 | 1.720 | 19.8 |
| 55.10 | 1.667 | 11.4 |

=====

Structure and computed powder XRD pattern of YInCu4 (a structure optimized by DFT (PBE); λ = 1.5418 Å (Cu Kα)).
Neutral-atom scattering factors, no anomalous dispersion.

Atomic structure:
a b c (Å): 5.121 5.121 5.121
angles (deg): 60.00 60.00 60.00
Positions (direct):
Y1 0.000 0.000 0.000
In1 0.750 0.750 0.750
Cu1 0.375 0.375 0.375
Cu2 0.375 0.375 0.874
Cu3 0.375 0.874 0.375
Cu4 0.874 0.375 0.375

The 8 most intense peaks (15 to 90 degrees two-theta), in order of falling intensity:
| 2θ (°) | d (Å) | Rel. int. |
| --- | --- | --- |
| 41.35 | 2.184 | 100.0 |
| 35.04 | 2.561 | 42.1 |
| 67.16 | 1.394 | 29.3 |
| 43.28 | 2.091 | 27.6 |
| 74.05 | 1.280 | 23.2 |
| 62.86 | 1.478 | 14.6 |
| 88.54 | 1.104 | 10.3 |
| 89.84 | 1.092 | 8.8 |

=====

Structure and computed powder XRD pattern of LiHo2O3 (a structure optimized by DFT (PBE); λ = 1.5418 Å (Cu Kα)).
Neutral-atom scattering factors, no anomalous dispersion.

Atomic structure:
a b c (Å): 3.346 3.346 7.869
angles (deg): 90.00 90.00 120.00
Positions (direct):
Li1 0.000 0.000 0.000
Ho1 0.333 0.667 0.680
Ho2 0.667 0.333 0.320
O1 0.000 0.000 0.500
O2 0.333 0.667 0.167
O3 0.667 0.333 0.833

The 8 most intense peaks (15 to 90 degrees two-theta), in order of falling intensity:
| 2θ (°) | d (Å) | Rel. int. |
| --- | --- | --- |
| 32.94 | 2.719 | 100.0 |
| 38.59 | 2.333 | 89.9 |
| 56.54 | 1.628 | 36.0 |
| 22.60 | 3.934 | 32.2 |
| 54.88 | 1.673 | 29.7 |
| 30.86 | 2.898 | 26.8 |
| 34.18 | 2.623 | 19.9 |
| 46.71 | 1.945 | 19.5 |

=====

Structure and computed powder XRD pattern of EuIr2 (a structure optimized by DFT (PBE); λ = 1.5418 Å (Cu Kα)).
Neutral-atom scattering factors, no anomalous dispersion.

Atomic structure:
a b c (Å): 5.425 5.425 5.425
angles (deg): 60.00 60.00 60.00
Positions (direct):
Eu1 0.125 0.125 0.125
Eu2 0.875 0.875 0.875
Ir1 0.000 0.500 0.500
Ir2 0.500 0.000 0.500
Ir3 0.500 0.500 0.000
Ir4 0.500 0.500 0.500

The 8 most intense peaks (15 to 90 degrees two-theta), in order of falling intensity:
| 2θ (°) | d (Å) | Rel. int. |
| --- | --- | --- |
| 38.94 | 2.313 | 100.0 |
| 40.74 | 2.215 | 47.6 |
| 62.96 | 1.476 | 32.9 |
| 69.29 | 1.356 | 29.8 |
| 33.03 | 2.712 | 20.7 |
| 83.61 | 1.157 | 18.6 |
| 20.05 | 4.429 | 13.2 |
| 82.44 | 1.170 | 11.8 |